Structure and calculated PXRD pattern of Ba4Nb2O9 (a cell relaxed with GGA-PBE; a wavelength of 1.5418 Å).
Peak positions follow from Bragg's law for the DFT cell and can differ from measured ones.

Principal peaks in the range 2θ from 10° to 90°, low angle first:
index  2θ (°)  intensity
0 0 2  10.5  19
1 0 4  27.0  100
1 1 0  28.9  99
2 0 4  39.9  50
1 1 6  43.6  17
2 1 4  50.0  36
3 0 0  51.1  29
2 2 0  59.8  19

abc: 6.188 6.188 16.783
angles: 90.00 90.00 120.00
Fractional positions:
1 Ba 0.000 0.000 0.000
2 Ba 0.000 0.000 0.250
3 Ba 0.000 0.000 0.500
4 Ba 0.000 0.000 0.750
5 Ba 0.333 0.667 0.138
6 Ba 0.333 0.667 0.362
7 Ba 0.667 0.333 0.638
8 Ba 0.667 0.333 0.862
9 Nb 0.333 0.667 0.659
10 Nb 0.333 0.667 0.841
11 Nb 0.667 0.333 0.159
12 Nb 0.667 0.333 0.341
13 O 0.045 0.582 0.750
14 O 0.102 0.358 0.608
15 O 0.102 0.358 0.892
16 O 0.256 0.898 0.608
17 O 0.256 0.898 0.892
18 O 0.358 0.256 0.108
19 O 0.358 0.256 0.392
20 O 0.418 0.463 0.750
21 O 0.463 0.045 0.250
22 O 0.537 0.955 0.750
23 O 0.582 0.537 0.250
24 O 0.642 0.744 0.608
25 O 0.642 0.744 0.892
26 O 0.744 0.102 0.108
27 O 0.744 0.102 0.392
28 O 0.898 0.642 0.108
29 O 0.898 0.642 0.392
30 O 0.955 0.418 0.250